This entry pairs a crystal structure of YMg2Si2 with its theoretical powder diffraction line list. Radiation: Cu Kα (weighted mean of Kα1 and Kα2). Structure: a crystal structure in Alexandria, relaxed with PBE.
Lines closer than 0.1° are merged.

Peak list (12 most intense, 2θ from 10° to 90°, in order of rising 2θ)
| d [Å] | intensity |
| --- | --- |
| 5.795 | 23 |
| 3.935 | 21 |
| 2.958 | 26 |
| 2.897 | 11 |
| 2.838 | 59 |
| 2.635 | 100 |
| 2.092 | 39 |
| 2.027 | 39 |
| 1.684 | 24 |
| 1.479 | 13 |
| 1.456 | 26 |
| 1.290 | 20 |

Structure:
```
data_YMg2Si2
_cell_length_a 4.184
_cell_length_b 4.184
_cell_length_c 11.589
_cell_angle_alpha 90.00
_cell_angle_beta 90.00
_cell_angle_gamma 90.00
_symmetry_space_group_name_H-M 'I 4/m m m'
_symmetry_Int_Tables_number 139
_symmetry_space_group_name_Hall '-I 4 2'
loop_
_atom_site_label
_atom_site_type_symbol
_atom_site_fract_x
_atom_site_fract_y
_atom_site_fract_z
Y1 Y 0.000 0.000 0.000
Mg1 Mg 0.000 0.500 0.250
Si1 Si 0.000 0.000 0.399
```

***

This entry pairs a crystal structure of YMg14Si with its theoretical powder diffraction line list. Radiation: Cu Kα (weighted mean of Kα1 and Kα2). Structure: a crystal structure in Alexandria, relaxed with PBE.
Lines closer than 0.1° are merged.

Peak list (12 most intense, 2θ from 10° to 90°, in order of rising 2θ)
| d [Å] | intensity |
| --- | --- |
| 5.594 | 13 |
| 4.898 | 11 |
| 3.756 | 8 |
| 2.892 | 6 |
| 2.797 | 26 |
| 2.534 | 24 |
| 2.449 | 100 |
| 1.878 | 15 |
| 1.615 | 18 |
| 1.446 | 17 |
| 1.362 | 18 |
| 1.348 | 14 |

Structure:
```
data_YMg14Si
_cell_length_a 6.4593
_cell_length_b 6.4593
_cell_length_c 10.1367
_cell_angle_alpha 90.00
_cell_angle_beta 90.00
_cell_angle_gamma 120.00
_symmetry_space_group_name_H-M 'P -6 m 2'
_symmetry_Int_Tables_number 187
_symmetry_space_group_name_Hall 'P -6 2'
loop_
_atom_site_label
_atom_site_type_symbol
_atom_site_fract_x
_atom_site_fract_y
_atom_site_fract_z
Y1 Y 0.0000 0.0000 0.0000
Mg1 Mg 0.0138 0.5069 0.0000
Mg2 Mg 0.1628 0.3255 0.2641
Mg3 Mg 0.5049 0.0097 0.5000
Mg4 Mg 0.6667 0.3333 0.2409
Si1 Si 0.0000 0.0000 0.5000
```

***

This entry pairs a crystal structure of Mg2ZrSi with its theoretical powder diffraction line list. Radiation: Cu Kα (weighted mean of Kα1 and Kα2). Structure: a crystal structure in Alexandria, relaxed with PBE.
Lines closer than 0.1° are merged.

Peak list (12 most intense, 2θ from 10° to 90°, in order of rising 2θ)
| d [Å] | intensity |
| --- | --- |
| 4.449 | 21 |
| 4.104 | 27 |
| 3.017 | 25 |
| 2.902 | 14 |
| 2.431 | 100 |
| 2.225 | 19 |
| 2.052 | 30 |
| 1.508 | 22 |
| 1.451 | 9 |
| 1.321 | 14 |
| 1.246 | 22 |
| 1.215 | 10 |

Structure:
```
data_Mg2ZrSi
_cell_length_a 4.104
_cell_length_b 4.104
_cell_length_c 4.449
_cell_angle_alpha 90.00
_cell_angle_beta 90.00
_cell_angle_gamma 90.00
_symmetry_space_group_name_H-M 'P 4/m m m'
_symmetry_Int_Tables_number 123
_symmetry_space_group_name_Hall '-P 4 2'
loop_
_atom_site_label
_atom_site_type_symbol
_atom_site_fract_x
_atom_site_fract_y
_atom_site_fract_z
Mg1 Mg 0.000 0.500 0.000
Zr1 Zr 0.000 0.000 0.500
Si1 Si 0.500 0.500 0.500
```

***

This entry pairs a crystal structure of Mg14ZrSi with its theoretical powder diffraction line list. Radiation: Cu Kα (weighted mean of Kα1 and Kα2). Structure: a crystal structure in Alexandria, relaxed with PBE.
Lines closer than 0.1° are merged.

Peak list (12 most intense, 2θ from 10° to 90°, in order of rising 2θ)
| d [Å] | intensity |
| --- | --- |
| 5.503 | 15 |
| 4.826 | 13 |
| 3.710 | 7 |
| 2.861 | 5 |
| 2.751 | 26 |
| 2.511 | 25 |
| 2.413 | 100 |
| 1.855 | 15 |
| 1.589 | 17 |
| 1.430 | 18 |
| 1.343 | 19 |
| 1.327 | 14 |

Structure:
```
data_Mg14ZrSi
_cell_length_a 6.3540
_cell_length_b 6.3540
_cell_length_c 10.0460
_cell_angle_alpha 90.00
_cell_angle_beta 90.00
_cell_angle_gamma 120.00
_symmetry_space_group_name_H-M 'P -6 m 2'
_symmetry_Int_Tables_number 187
_symmetry_space_group_name_Hall 'P -6 2'
loop_
_atom_site_label
_atom_site_type_symbol
_atom_site_fract_x
_atom_site_fract_y
_atom_site_fract_z
Mg1 Mg 0.0000 0.0000 0.2410
Mg2 Mg 0.0143 0.5071 0.2568
Mg3 Mg 0.3280 0.1640 0.5000
Mg4 Mg 0.3439 0.1719 0.0000
Zr1 Zr 0.3333 0.6667 0.0000
Si1 Si 0.3333 0.6667 0.5000
```